Diffraction record for Li4Mn7O9F7. The XRD peak list is calculated, not measured: it uses a GGA+U-relaxed structure and Cu Kα.
Peak positions follow from Bragg's law for the DFT cell and can differ from measured ones.

Principal peaks in the range 10° ≤ 2θ ≤ 90°, in order of rising 2θ:
17.6 deg, rel. 22
18.1 deg, rel. 100
33.1 deg, rel. 16
35.5 deg, rel. 21
40.3 deg, rel. 29
43.3 deg, rel. 48
60.0 deg, rel. 16
61.3 deg, rel. 14

a b c (Å): 6.0606 6.0606 10.9150
angles (deg): 109.71 109.71 57.62
Atoms (fractional coordinates):
Li 0.0000 0.0000 0.0000
Li 0.1060 0.1060 0.3987
Li 0.5111 0.5111 0.4953
Li 0.6224 0.6224 0.8829
Mn 0.0634 0.5614 0.7018
Mn 0.0653 0.5466 0.2018
Mn 0.0708 0.0708 0.7040
Mn 0.3051 0.3051 0.9435
Mn 0.5466 0.0653 0.2018
Mn 0.5614 0.0634 0.7018
Mn 0.8005 0.8005 0.4442
O 0.1887 0.1887 0.6018
O 0.2037 0.2037 0.0864
O 0.4062 0.4062 0.3080
O 0.4141 0.9668 0.8220
O 0.4209 0.4209 0.8064
O 0.7173 0.7173 0.5761
O 0.8947 0.8947 0.3214
O 0.9393 0.9393 0.7907
O 0.9668 0.4141 0.8220
F 0.1693 0.6640 0.0581
F 0.1716 0.7142 0.5644
F 0.4411 0.9285 0.3424
F 0.6640 0.1693 0.0581
F 0.6977 0.6977 0.0853
F 0.7142 0.1716 0.5644
F 0.9285 0.4411 0.3424